Record 1
For NpIn3Cl6, the PBE geometry in OQMD gives the simulated powder X-ray diffraction pattern in this record (Cu Kα (λ = 1.5418 Å)).

Largest 6 diffraction maxima, in order of rising 2θ, 2θ = 15–90°:
21.38°, I 44.7
22.54°, I 100.0
23.80°, I 93.6
24.25°, I 38.9
32.55°, I 46.5
43.17°, I 44.8

Crystal structure
```
NpIn3Cl6
1.0
7.359 0.000 0.000
0.000 8.312 0.000
-6.588 0.000 10.710
Np In Cl
2 6 12
Direct
0.000 0.000 0.000
0.000 0.500 0.500
0.294 0.073 0.767
0.294 0.427 0.267
0.500 0.000 0.500
0.500 0.500 0.000
0.706 0.573 0.733
0.706 0.927 0.233
0.091 0.071 0.235
0.091 0.429 0.735
0.238 0.725 0.081
0.238 0.775 0.581
0.355 0.164 0.043
0.355 0.336 0.543
0.645 0.664 0.457
0.645 0.836 0.957
0.762 0.225 0.419
0.762 0.275 0.919
0.909 0.571 0.265
0.909 0.929 0.765
```

---

Record 2
For Sr2ZrOsN6, the PBE geometry in OQMD gives the simulated powder X-ray diffraction pattern in this record (Cu Kα (λ = 1.5418 Å)).

Largest 6 diffraction maxima, in order of rising 2θ, 2θ = 15–90°:
24.76°, I 86.0
31.12°, I 54.6
31.91°, I 100.0
45.17°, I 26.1
46.95°, I 33.3
61.66°, I 29.5

Crystal structure
```
Sr2ZrOsN6
1.0
5.610 0.000 0.000
-2.805 4.858 0.000
0.000 0.000 10.694
Sr Zr Os N
4 2 2 12
Direct
0.333 0.667 0.064
0.333 0.667 0.436
0.667 0.333 0.564
0.667 0.333 0.936
0.333 0.667 0.750
0.667 0.333 0.250
0.000 0.000 0.250
0.000 0.000 0.750
0.094 0.310 0.864
0.094 0.784 0.636
0.216 0.310 0.636
0.216 0.906 0.864
0.310 0.094 0.364
0.310 0.216 0.136
0.690 0.784 0.864
0.690 0.906 0.636
0.784 0.094 0.136
0.784 0.690 0.364
0.906 0.216 0.364
0.906 0.690 0.136
```

---

Record 3
For TbHfSi2, the PBE geometry in OQMD gives the simulated powder X-ray diffraction pattern in this record (Cu Kα (λ = 1.5418 Å)).

Largest 6 diffraction maxima, in order of rising 2θ, 2θ = 15–90°:
28.75°, I 47.7
31.17°, I 100.0
33.65°, I 73.4
35.05°, I 82.3
37.59°, I 46.7
39.63°, I 39.9

Crystal structure
```
TbHfSi2
1.0
3.779 0.000 0.000
0.000 7.508 0.000
0.000 0.000 5.447
Tb Hf Si
2 2 4
Direct
0.000 0.074 0.000
0.500 0.926 0.500
0.000 0.566 0.259
0.500 0.434 0.759
0.000 0.228 0.514
0.000 0.695 0.741
0.500 0.305 0.241
0.500 0.772 0.014
```

---

Record 4
For Ta4BiC3, the PBE geometry in OQMD gives the simulated powder X-ray diffraction pattern in this record (Cu Kα (λ = 1.5418 Å)).

Largest 6 diffraction maxima, in order of rising 2θ, 2θ = 15–90°:
34.85°, I 62.3
35.34°, I 92.3
36.91°, I 100.0
38.75°, I 69.8
57.78°, I 51.9
69.28°, I 53.3

Crystal structure
```
Ta4BiC3
1.0
3.191 0.000 0.000
-1.596 2.764 0.000
0.000 0.000 25.747
Ta Bi C
8 2 6
Direct
0.000 0.000 0.146
0.000 0.000 0.354
0.000 0.000 0.646
0.000 0.000 0.854
0.333 0.667 0.051
0.333 0.667 0.449
0.667 0.333 0.551
0.667 0.333 0.949
0.333 0.667 0.250
0.667 0.333 0.750
0.000 0.000 0.000
0.000 0.000 0.500
0.333 0.667 0.601
0.333 0.667 0.899
0.667 0.333 0.101
0.667 0.333 0.399
```

---

Record 5
For Tb2Al2Cu3Pt, the PBE geometry in OQMD gives the simulated powder X-ray diffraction pattern in this record (Cu Kα (λ = 1.5418 Å)).

Largest 6 diffraction maxima, in order of rising 2θ, 2θ = 15–90°:
23.71°, I 47.8
25.76°, I 19.9
38.65°, I 100.0
41.69°, I 62.9
58.14°, I 29.9
74.07°, I 28.8

Crystal structure
```
Tb2Al2Cu3Pt
1.0
4.333 0.000 0.000
-2.166 3.752 0.000
0.000 0.000 8.916
Tb Al Cu Pt
2 2 3 1
Direct
0.000 0.000 0.000
0.333 0.667 0.496
0.667 0.333 0.241
0.667 0.333 0.737
0.000 0.000 0.318
0.333 0.667 0.170
0.333 0.667 0.826
0.000 0.000 0.676
```

---

Record 6
For SmGaPO, the PBE geometry in OQMD gives the simulated powder X-ray diffraction pattern in this record (Cu Kα (λ = 1.5418 Å)).

Largest 6 diffraction maxima, in order of rising 2θ, 2θ = 15–90°:
23.86°, I 40.2
30.99°, I 100.0
31.99°, I 60.0
42.74°, I 47.5
53.72°, I 41.6
55.81°, I 50.8

Crystal structure
```
SmGaPO
1.0
4.231 0.000 0.000
0.000 4.231 0.000
0.000 0.000 7.891
Sm Ga P O
2 2 2 2
Direct
0.250 0.250 0.129
0.750 0.750 0.871
0.250 0.750 0.500
0.750 0.250 0.500
0.250 0.250 0.662
0.750 0.750 0.338
0.250 0.750 0.000
0.750 0.250 0.000
```

---

Record 7
For SrPr2Ge4Pd4, the PBE geometry in OQMD gives the simulated powder X-ray diffraction pattern in this record (Cu Kα (λ = 1.5418 Å)).

Largest 6 diffraction maxima, in order of rising 2θ, 2θ = 15–90°:
32.54°, I 100.0
40.87°, I 22.0
42.92°, I 19.1
44.15°, I 15.2
53.16°, I 14.0
60.76°, I 13.4

Crystal structure
```
SrPr2Ge4Pd4
1.0
-2.107 2.208 12.741
2.107 -2.208 12.741
2.107 2.208 -12.741
Sr Pr Ge Pd
1 2 4 4
Direct
0.000 0.000 0.000
0.352 0.852 0.500
0.648 0.148 0.500
0.195 0.695 0.500
0.450 0.450 0.000
0.550 0.550 0.000
0.805 0.305 0.500
0.097 0.597 0.500
0.250 0.250 0.000
0.750 0.750 0.000
0.903 0.403 0.500
```

---

Record 8
For LaTb2TlCd3In2, the PBE geometry in OQMD gives the simulated powder X-ray diffraction pattern in this record (Cu Kα (λ = 1.5418 Å)).

Largest 6 diffraction maxima, in order of rising 2θ, 2θ = 15–90°:
30.05°, I 47.3
30.25°, I 28.1
32.92°, I 45.8
33.17°, I 100.0
38.19°, I 42.0
41.08°, I 29.7

Crystal structure
```
LaTb2TlCd3In2
1.0
4.713 0.000 0.000
0.000 6.666 3.792
0.000 -6.666 3.792
La Tb Tl Cd In
1 2 1 3 2
Direct
0.000 0.000 0.000
0.000 0.428 0.857
0.000 0.857 0.428
0.000 0.438 0.438
0.500 0.180 0.428
0.500 0.428 0.180
0.500 0.682 0.682
0.500 0.100 0.757
0.500 0.757 0.100
```

---

Record 9
For Dy3Tm2Lu2Co2Te2, the PBE geometry in OQMD gives the simulated powder X-ray diffraction pattern in this record (Cu Kα (λ = 1.5418 Å)).

Largest 6 diffraction maxima, in order of rising 2θ, 2θ = 15–90°:
29.15°, I 38.6
30.78°, I 53.6
33.57°, I 87.4
34.37°, I 100.0
34.97°, I 60.8
59.56°, I 34.0

Crystal structure
```
Dy3Tm2Lu2Co2Te2
1.0
-1.908 7.738 4.680
1.908 -7.738 4.680
1.908 7.738 -4.680
Dy Tm Lu Co Te
3 2 2 2 2
Direct
0.000 0.000 0.000
0.081 0.731 0.350
0.381 0.731 0.650
0.446 0.582 0.864
0.718 0.582 0.136
0.060 0.375 0.685
0.690 0.375 0.315
0.306 0.068 0.238
0.831 0.068 0.762
0.340 0.340 0.000
0.733 0.233 0.500
```

---

Record 10
For TmNi2Ge, the PBE geometry in OQMD gives the simulated powder X-ray diffraction pattern in this record (Cu Kα (λ = 1.5418 Å)).

Largest 6 diffraction maxima, in order of rising 2θ, 2θ = 15–90°:
25.76°, I 33.1
28.49°, I 26.1
37.02°, I 71.0
37.43°, I 30.9
42.85°, I 26.0
43.82°, I 100.0

Crystal structure
```
TmNi2Ge
1.0
4.958 0.000 0.000
0.000 4.132 0.000
-1.602 0.000 6.322
Tm Ni Ge
2 4 2
Direct
0.217 0.250 0.235
0.783 0.750 0.765
0.172 0.750 0.532
0.350 0.750 0.948
0.650 0.250 0.052
0.828 0.250 0.468
0.280 0.250 0.731
0.720 0.750 0.269
```

---

Record 11
For InCo7, the PBE geometry in OQMD gives the simulated powder X-ray diffraction pattern in this record (Cu Kα (λ = 1.5418 Å)).

Largest 6 diffraction maxima, in order of rising 2θ, 2θ = 15–90°:
43.21°, I 58.9
44.83°, I 100.0
48.40°, I 54.2
70.88°, I 18.7
86.76°, I 13.9
87.88°, I 25.1

Crystal structure
```
InCo7
1.0
2.659 0.000 0.000
0.000 2.659 0.000
0.000 0.000 37.348
In Co
2 14
Direct
0.250 0.250 0.171
0.750 0.750 0.829
0.250 0.250 0.268
0.250 0.250 0.353
0.250 0.250 0.437
0.250 0.250 0.521
0.250 0.250 0.605
0.250 0.250 0.689
0.250 0.250 0.772
0.750 0.750 0.228
0.750 0.750 0.311
0.750 0.750 0.395
0.750 0.750 0.479
0.750 0.750 0.563
0.750 0.750 0.647
0.750 0.750 0.732
```

---

Record 12
For ErLu2Si4Ag4, the PBE geometry in OQMD gives the simulated powder X-ray diffraction pattern in this record (Cu Kα (λ = 1.5418 Å)).

Largest 6 diffraction maxima, in order of rising 2θ, 2θ = 15–90°:
34.06°, I 100.0
34.50°, I 32.4
35.79°, I 88.2
38.74°, I 33.1
43.10°, I 37.0
43.53°, I 39.1

Crystal structure
```
ErLu2Si4Ag4
1.0
-2.099 3.483 7.004
2.099 -3.483 7.004
2.099 3.483 -7.004
Er Lu Si Ag
1 2 4 4
Direct
0.000 0.000 0.000
0.376 0.876 0.500
0.624 0.124 0.500
0.217 0.217 0.000
0.324 0.500 0.824
0.676 0.500 0.176
0.783 0.783 0.000
0.031 0.331 0.700
0.369 0.669 0.700
0.631 0.331 0.300
0.969 0.669 0.300
```